Starting from a structure optimized by DFT (GGA-PBE), the X-ray diffraction stick pattern of TbAgSn was computed for Cu Kα.
Intensities are scaled so that the largest is 100.

Main lines, in order of rising 2θ (2θ from 10° to 90°):
2θ = 24.32°, intensity 11, hkl 1 0 1
2θ = 32.06°, intensity 100, hkl 1 0 2
2θ = 37.10°, intensity 81, hkl 1 1 0
2θ = 42.17°, intensity 20, hkl 0 1 3
2θ = 49.83°, intensity 29, hkl 0 2 2
2θ = 62.78°, intensity 12, hkl 1 1 4
2θ = 63.73°, intensity 28, hkl 2 1 2
2θ = 66.88°, intensity 14, hkl 3 0 0
2θ = 79.04°, intensity 9, hkl 2 2 0
2θ = 87.84°, intensity 12, hkl 1 3 2

Cell and atoms:
Unit cell a=4.8460 b=4.8460 c=7.4775 alpha=90.00 beta=90.00 gamma=120.00
Space group P-3m1 (No. 164)
Asymmetric unit:
Tb1 0.0000 0.0000 0.2287 (multiplicity 2)
Ag1 0.3333 0.6667 0.9737 (multiplicity 2)
Sn1 0.3333 0.6667 0.5588 (multiplicity 2)